Theoretical powder diffraction line list
Compound: NaSrCoBiO6
Radiation: Cu Kα (weighted mean of Kα1 and Kα2)
Structure: the PBE+U geometry in the Materials Project

Structure:
```
NaSrCoBiO6
1.0
0.000 4.073 4.073
4.073 0.000 4.073
4.073 4.073 0.000
Na Sr Co Bi O
1 1 1 1 6
Direct
0.000 0.000 0.000 Na
0.500 0.500 0.500 Sr
0.750 0.750 0.750 Co
0.250 0.250 0.250 Bi
0.512 0.512 0.988 O
0.512 0.988 0.512 O
0.512 0.988 0.988 O
0.988 0.512 0.512 O
0.988 0.512 0.988 O
0.988 0.988 0.512 O
```

Largest 10 diffraction maxima, in order of rising 2θ, 5° ≤ 2θ ≤ 70°:
- 18.9 deg, I 40
- 21.8 deg, I 36
- 31.1 deg, I 100
- 36.6 deg, I 27
- 44.5 deg, I 34
- 48.7 deg, I 14
- 50.1 deg, I 15
- 55.2 deg, I 40
- 64.7 deg, I 21
- 68.1 deg, I 9